Li2HfMnO4: calculated X-ray diffraction stick pattern (Cu Kα), based on the GGA+U geometry in Alexandria.

Structural model:
```
data_Li2HfMnO4
_space_group_name_H-M_alt 'P 1'
_space_group_IT_number 1
_cell_length_a 4.2266
_cell_length_b 4.2274
_cell_length_c 9.7014
_cell_angle_alpha 90.00
_cell_angle_beta 90.00
_cell_angle_gamma 90.00
loop_
_space_group_symop_operation_xyz
'x,y,z'
loop_
_atom_site_label
_atom_site_type_symbol
_atom_site_fract_x
_atom_site_fract_y
_atom_site_fract_z
Li1 Li 0.0000 0.0000 0.0000
Li2 Li 0.0000 0.5000 0.2508
Li3 Li 0.5000 0.0000 0.7508
Li4 Li 0.5000 0.5000 0.5000
Hf1 Hf 0.0000 0.0000 0.5008
Hf2 Hf 0.5000 0.5000 0.0008
Mn1 Mn 0.0000 0.5000 0.7507
Mn2 Mn 0.5000 0.0000 0.2507
O1 O 0.0000 0.0000 0.2871
O2 O 0.0000 0.0000 0.7148
O3 O 0.0000 0.5000 0.5049
O4 O 0.0000 0.5000 0.9967
O5 O 0.5000 0.0000 0.0049
O6 O 0.5000 0.0000 0.4967
O7 O 0.5000 0.5000 0.2148
O8 O 0.5000 0.5000 0.7871
```

Largest 10 diffraction maxima, by intensity, 2θ from 10° to 90°:
2theta, I (rel.), (hkl)
22.95, 1000, 1 0 1
35.27, 309, 1 1 2
42.79, 261, 2 0 0
49.10, 259, 2 1 1
34.93, 245, 0 1 3
57.87, 186, 2 0 4
37.07, 184, 0 0 4
18.29, 179, 0 0 2
51.85, 135, 1 0 5
56.38, 130, 2 1 3